RbTbW2O8: simulated X-ray diffraction stick pattern (Cu Ka), based on a structure optimized by DFT (PBE+U).

Peak list (10 most intense, 15 to 90 degrees two-theta, by angle)
| two_theta | intensity |
| --- | --- |
| 27.0 | 100 |
| 27.1 | 27 |
| 27.7 | 22 |
| 29.0 | 99 |
| 31.3 | 39 |
| 33.1 | 25 |
| 33.4 | 21 |
| 46.4 | 24 |
| 48.6 | 31 |
| 55.5 | 22 |

Cell and atoms:
```
RbTbW2O8
1.0
5.5122 -5.3680 0.0000
5.5122 5.3680 0.0000
-4.8612 0.0000 5.7208
Rb Tb W O
2 2 4 16
direct
0.2044 0.7956 0.7500
0.7956 0.2044 0.2500
0.2239 0.7761 0.2500
0.7761 0.2239 0.7500
0.3006 0.3101 0.2854
0.3101 0.3006 0.7854
0.6899 0.6994 0.2146
0.6994 0.6899 0.7146
0.0449 0.2301 0.6974
0.0572 0.3618 0.1240
0.2301 0.0449 0.1974
0.2499 0.3759 0.5602
0.3618 0.0572 0.6240
0.3740 0.5936 0.0362
0.3759 0.2499 0.0602
0.4064 0.6260 0.4638
0.5936 0.3740 0.5362
0.6241 0.7501 0.9398
0.6260 0.4064 0.9638
0.6382 0.9428 0.3760
0.7501 0.6241 0.4398
0.7699 0.9551 0.8026
0.9428 0.6382 0.8760
0.9551 0.7699 0.3026
```